Record 1
This entry pairs a crystal structure of RbSnPb3 with its calculated XRD peak list. Radiation: Cu Kα, 1.54184 Å. Structure: a structure optimized by DFT (PBE).
No peak broadening, texture or thermal motion is included.

Structure:
```
data_RbSnPb3
_symmetry_space_group_name_H-M 'P 1 c 1'
_symmetry_Int_Tables_number 7
_cell_length_a 7.167
_cell_length_b 7.198
_cell_length_c 10.143
_cell_angle_alpha 90.00
_cell_angle_beta 134.92
_cell_angle_gamma 90.00
loop_
_symmetry_equiv_pos_as_xyz
'x,y,z'
'x,-y,z+1/2'
loop_
_atom_site_label
_atom_site_type_symbol
_atom_site_fract_x
_atom_site_fract_y
_atom_site_fract_z
_atom_site_occupancy
Rb1 Rb 0.000 0.242 0.000 1
Sn1 Sn 0.347 0.401 0.847 1
Pb1 Pb 0.251 0.261 0.501 1
Pb2 Pb 0.644 0.104 0.144 1
Pb3 Pb 0.751 0.261 0.501 1
```

Peak list (10 most intense, 2θ = 15–90°, sorted by position)
hkl  2θ/deg  I_rel
0 1 1  17.45  30
1 1 -2  21.43  25
0 0 2  24.77  33
0 2 1  27.75  23
2 1 -1  30.51  100
0 2 2  35.34  50
1 2 1  37.55  21
0 1 3  39.64  44
2 4 -2  57.30  20
2 3 1  60.42  21

---

Record 2
This entry pairs a crystal structure of PrThBr2 with its calculated XRD peak list. Radiation: Cu Kα, 1.54184 Å. Structure: a structure optimized by DFT (PBE).
No peak broadening, texture or thermal motion is included.

Structure:
```
data_PrThBr2
_symmetry_space_group_name_H-M 'R -3 m'
_symmetry_Int_Tables_number 166
_symmetry_space_group_name_Hall '-R 3 2"'
_cell_length_a 3.6838
_cell_length_b 3.6838
_cell_length_c 31.8566
_cell_angle_alpha 90.00
_cell_angle_beta 90.00
_cell_angle_gamma 120.00
loop_
_atom_site_label
_atom_site_type_symbol
_atom_site_fract_x
_atom_site_fract_y
_atom_site_fract_z
_atom_site_occupancy
Pr1 Pr 0.0000 0.0000 0.0000 1
Th1 Th 0.0000 0.0000 0.5000 1
Br1 Br 0.0000 0.0000 0.0968 1
```

Peak list (10 most intense, 2θ = 15–90°, sorted by position)
hkl  2θ/deg  I_rel
0 0 6  16.70  31
0 1 2  28.53  100
1 0 4  30.18  28
0 1 5  31.36  26
0 0 12  33.76  25
0 1 8  36.07  46
1 0 10  40.00  63
1 1 0  49.49  35
1 1 12  61.25  27
0 2 10  65.47  29

---

Record 3
This entry pairs a crystal structure of TcAg3Br7 with its calculated XRD peak list. Radiation: Cu Kα, 1.54184 Å. Structure: a structure optimized by DFT (PBE).
No peak broadening, texture or thermal motion is included.

Structure:
```
data_TcAg3Br7
_symmetry_space_group_name_H-M 'C 1 m 1'
_symmetry_Int_Tables_number 8
_cell_length_a 11.600
_cell_length_b 8.851
_cell_length_c 7.127
_cell_angle_alpha 90.00
_cell_angle_beta 96.23
_cell_angle_gamma 90.00
loop_
_symmetry_equiv_pos_as_xyz
'x,y,z'
'x,-y,z'
'x+1/2,y+1/2,z'
'x+1/2,-y+1/2,z'
loop_
_atom_site_label
_atom_site_type_symbol
_atom_site_fract_x
_atom_site_fract_y
_atom_site_fract_z
_atom_site_occupancy
Tc1 Tc 0.000 0.000 0.000 1
Ag1 Ag 0.374 0.000 0.820 1
Ag2 Ag 0.488 0.274 0.478 1
Br1 Br 0.050 0.500 0.594 1
Br2 Br 0.120 0.204 0.160 1
Br3 Br 0.124 0.000 0.724 1
Br4 Br 0.362 0.307 0.829 1
Br5 Br 0.368 0.500 0.276 1
```

Peak list (10 most intense, 2θ = 15–90°, sorted by position)
hkl  2θ/deg  I_rel
2 0 0  15.37  86
1 1 1  18.37  65
2 0 1  20.89  41
2 0 -2  28.10  100
2 2 1  29.12  98
1 3 1  34.13  47
4 0 -2  38.06  49
3 3 1  41.42  45
0 2 3  43.43  29
5 3 -1  50.80  37

---

Record 4
This entry pairs a crystal structure of Li3NdCl6 with its calculated XRD peak list. Radiation: Cu Kα, 1.54184 Å. Structure: a structure optimized by DFT (PBE).
No peak broadening, texture or thermal motion is included.

Structure:
```
data_Li3NdCl6
_symmetry_space_group_name_H-M 'R 3'
_symmetry_Int_Tables_number 146
_symmetry_space_group_name_Hall 'R 3'
_cell_length_a 6.6342
_cell_length_b 6.6342
_cell_length_c 18.1491
_cell_angle_alpha 90.00
_cell_angle_beta 90.00
_cell_angle_gamma 120.00
loop_
_atom_site_label
_atom_site_type_symbol
_atom_site_fract_x
_atom_site_fract_y
_atom_site_fract_z
_atom_site_occupancy
Li1 Li 0.0000 0.0000 0.0000 1
Li2 Li 0.0000 0.0000 0.2019 1
Li3 Li 0.0000 0.0000 0.5019 1
Nd1 Nd 0.0000 0.0000 0.7008 1
Cl1 Cl 0.0095 0.6884 0.6006 1
Cl2 Cl 0.0184 0.3733 0.7703 1
```

Peak list (10 most intense, 2θ = 15–90°, sorted by position)
hkl  2θ/deg  I_rel
1 0 1  16.18  76
0 1 2  18.28  66
1 0 4  25.01  33
0 1 5  29.10  22
2 -1 3  30.74  100
0 2 1  31.53  20
2 0 2  32.70  19
1 1 6  40.35  53
0 1 8  42.83  23
3 0 0  47.47  32

---

Record 5
This entry pairs a crystal structure of Sm4Dy2HoEr2 with its calculated XRD peak list. Radiation: Cu Kα, 1.54184 Å. Structure: a structure optimized by DFT (PBE).
No peak broadening, texture or thermal motion is included.

Structure:
```
data_Sm4Dy2HoEr2
_symmetry_space_group_name_H-M 'C 1 2/m 1'
_symmetry_Int_Tables_number 12
_cell_length_a 15.159
_cell_length_b 5.043
_cell_length_c 7.980
_cell_angle_alpha 90.00
_cell_angle_beta 108.44
_cell_angle_gamma 90.00
loop_
_symmetry_equiv_pos_as_xyz
'x,y,z'
'-x,-y,-z'
'-x,y,-z'
'x,-y,z'
'x+1/2,y+1/2,z'
'-x+1/2,-y+1/2,-z'
'-x+1/2,y+1/2,-z'
'x+1/2,-y+1/2,z'
loop_
_atom_site_label
_atom_site_type_symbol
_atom_site_fract_x
_atom_site_fract_y
_atom_site_fract_z
_atom_site_occupancy
Sm1 Sm 0.055 0.000 0.331 1
Sm2 Sm 0.222 0.500 0.332 1
Dy1 Dy 0.111 0.500 0.669 1
Ho1 Ho 0.000 0.500 0.000 1
Er1 Er 0.167 0.000 0.000 1
```

Peak list (10 most intense, 2θ = 15–90°, sorted by position)
hkl  2θ/deg  I_rel
3 1 1  30.68  100
0 2 0  35.57  51
6 0 2  51.19  36
9 1 0  60.86  36
3 3 -2  60.91  7
6 2 2  63.89  12
0 4 0  75.36  4
9 3 0  83.48  18
12 0 1  86.11  8
0 4 3  86.22  8

---

Record 6
This entry pairs a crystal structure of Pm2Pu3Ru4 with its calculated XRD peak list. Radiation: Cu Kα, 1.54184 Å. Structure: a structure optimized by DFT (PBE).
No peak broadening, texture or thermal motion is included.

Structure:
```
data_Pm2Pu3Ru4
_symmetry_space_group_name_H-M 'C m c e'
_symmetry_Int_Tables_number 64
_symmetry_space_group_name_Hall '-C 2ac 2'
_cell_length_a 6.148
_cell_length_b 16.409
_cell_length_c 7.629
_cell_angle_alpha 90.00
_cell_angle_beta 90.00
_cell_angle_gamma 90.00
loop_
_atom_site_label
_atom_site_type_symbol
_atom_site_fract_x
_atom_site_fract_y
_atom_site_fract_z
_atom_site_occupancy
Pm1 Pm 0.000 0.098 0.097 1
Pu1 Pu 0.000 0.000 0.500 1
Pu2 Pu 0.250 0.227 0.750 1
Ru1 Ru 0.000 0.160 0.476 1
Ru2 Ru 0.250 0.066 0.750 1
```

Peak list (10 most intense, 2θ = 15–90°, sorted by position)
hkl  2θ/deg  I_rel
0 2 2  25.76  43
2 2 0  31.07  35
0 4 2  32.07  26
1 5 1  33.10  55
2 2 1  33.27  43
0 6 1  34.85  28
0 2 3  37.01  29
2 0 2  37.58  100
0 6 2  40.59  36
2 6 4  67.14  28

---

Record 7
This entry pairs a crystal structure of Sr4PbI3 with its calculated XRD peak list. Radiation: Cu Kα, 1.54184 Å. Structure: a structure optimized by DFT (PBE).
No peak broadening, texture or thermal motion is included.

Structure:
```
data_Sr4PbI3
_symmetry_space_group_name_H-M 'P 1 2/c 1'
_symmetry_Int_Tables_number 13
_cell_length_a 8.302
_cell_length_b 9.778
_cell_length_c 8.533
_cell_angle_alpha 90.00
_cell_angle_beta 109.30
_cell_angle_gamma 90.00
loop_
_symmetry_equiv_pos_as_xyz
'x,y,z'
'-x,-y,-z'
'-x,y,-z+1/2'
'x,-y,z+1/2'
loop_
_atom_site_label
_atom_site_type_symbol
_atom_site_fract_x
_atom_site_fract_y
_atom_site_fract_z
_atom_site_occupancy
Sr1 Sr 0.226 0.107 0.001 1
Sr2 Sr 0.233 0.362 0.481 1
Pb1 Pb 0.000 0.130 0.250 1
I1 I 0.000 0.375 0.750 1
I2 I 0.500 0.140 0.750 1
I3 I 0.500 0.390 0.250 1
```

Peak list (10 most intense, 2θ = 15–90°, sorted by position)
hkl  2θ/deg  I_rel
1 2 1  25.82  100
2 0 -2  25.97  50
1 2 -3  36.55  40
0 4 0  36.77  19
2 0 2  36.92  19
3 2 -1  37.34  37
0 0 4  45.03  11
2 4 -2  45.56  20
2 4 2  53.09  12
4 4 -4  66.59  12

---

Record 8
This entry pairs a crystal structure of HfNb14W with its calculated XRD peak list. Radiation: Cu Kα, 1.54184 Å. Structure: a structure optimized by DFT (PBE).
No peak broadening, texture or thermal motion is included.

Structure:
```
data_HfNb14W
_symmetry_space_group_name_H-M 'C m m m'
_symmetry_Int_Tables_number 65
_symmetry_space_group_name_Hall '-C 2 2'
_cell_length_a 6.634
_cell_length_b 9.446
_cell_length_c 9.332
_cell_angle_alpha 90.00
_cell_angle_beta 90.00
_cell_angle_gamma 90.00
loop_
_atom_site_label
_atom_site_type_symbol
_atom_site_fract_x
_atom_site_fract_y
_atom_site_fract_z
_atom_site_occupancy
Hf1 Hf 0.000 0.000 0.000 1
Nb1 Nb 0.000 0.000 0.500 1
Nb2 Nb 0.000 0.247 0.248 1
Nb3 Nb 0.000 0.500 0.500 1
Nb4 Nb 0.241 0.500 0.251 1
Nb5 Nb 0.250 0.250 0.000 1
Nb6 Nb 0.250 0.250 0.500 1
W1 W 0.000 0.500 0.000 1
```

Peak list (10 most intense, 2θ = 15–90°, sorted by position)
hkl  2θ/deg  I_rel
0 4 0  38.11  26
2 2 2  38.36  100
0 0 4  38.59  25
0 4 4  55.37  25
2 6 2  69.03  17
4 4 0  69.22  8
4 0 4  69.54  8
2 2 6  69.68  17
0 8 0  81.52  3
4 4 4  82.16  10

---

Record 9
This entry pairs a crystal structure of BaNaN with its calculated XRD peak list. Radiation: Cu Kα, 1.54184 Å. Structure: a structure optimized by DFT (PBE).
No peak broadening, texture or thermal motion is included.

Structure:
```
data_BaNaN
_symmetry_space_group_name_H-M 'P -1'
_symmetry_Int_Tables_number 2
_cell_length_a 4.001
_cell_length_b 6.572
_cell_length_c 7.227
_cell_angle_alpha 63.30
_cell_angle_beta 89.94
_cell_angle_gamma 89.99
loop_
_symmetry_equiv_pos_as_xyz
'x,y,z'
'-x,-y,-z'
loop_
_atom_site_label
_atom_site_type_symbol
_atom_site_fract_x
_atom_site_fract_y
_atom_site_fract_z
_atom_site_occupancy
Ba1 Ba 0.250 0.187 0.259 1
Na1 Na 0.250 0.350 0.627 1
N1 N 0.250 0.760 0.533 1
```

Peak list (10 most intense, 2θ = 15–90°, sorted by position)
hkl  2θ/deg  I_rel
0 1 1  15.16  100
0 1 -1  24.66  36
1 0 1  26.20  55
1 1 0  26.98  80
0 0 2  27.63  28
0 2 0  30.45  20
1 1 2  33.53  57
2 0 0  45.34  24
-1 3 1  47.85  28
1 0 3  48.02  26

---

Record 10
This entry pairs a crystal structure of La4PrDy4 with its calculated XRD peak list. Radiation: Cu Kα, 1.54184 Å. Structure: a structure optimized by DFT (PBE).
No peak broadening, texture or thermal motion is included.

Structure:
```
data_La4PrDy4
_symmetry_space_group_name_H-M 'P -1'
_symmetry_Int_Tables_number 2
_cell_length_a 6.305
_cell_length_b 9.674
_cell_length_c 10.958
_cell_angle_alpha 100.79
_cell_angle_beta 106.53
_cell_angle_gamma 96.24
loop_
_symmetry_equiv_pos_as_xyz
'x,y,z'
'-x,-y,-z'
loop_
_atom_site_label
_atom_site_type_symbol
_atom_site_fract_x
_atom_site_fract_y
_atom_site_fract_z
_atom_site_occupancy
La1 La 0.249 0.248 0.083 1
La2 La 0.249 0.915 0.529 1
La3 La 0.250 0.247 0.752 1
La4 La 0.251 0.584 0.640 1
Pr1 Pr 0.248 0.583 0.303 1
Dy1 Dy 0.246 0.247 0.415 1
Dy2 Dy 0.250 0.919 0.191 1
Dy3 Dy 0.251 0.917 0.864 1
Dy4 Dy 0.252 0.584 0.974 1
```

Peak list (10 most intense, 2θ = 15–90°, sorted by position)
hkl  2θ/deg  I_rel
0 1 3  29.92  100
2 0 0  30.01  99
1 3 0  34.69  68
-2 1 3  34.84  33
2 1 3  49.86  36
3 2 -3  50.07  24
0 6 0  59.21  14
3 3 0  59.34  43
-4 1 3  59.56  14
4 0 0  62.38  12

---

Record 11
This entry pairs a crystal structure of Er6Mg2In with its calculated XRD peak list. Radiation: Cu Kα, 1.54184 Å. Structure: a structure optimized by DFT (PBE).
No peak broadening, texture or thermal motion is included.

Structure:
```
data_Er6Mg2In
_symmetry_space_group_name_H-M 'R 3'
_symmetry_Int_Tables_number 146
_symmetry_space_group_name_Hall 'R 3'
_cell_length_a 6.9681
_cell_length_b 6.9681
_cell_length_c 21.5692
_cell_angle_alpha 90.00
_cell_angle_beta 90.00
_cell_angle_gamma 120.00
loop_
_atom_site_label
_atom_site_type_symbol
_atom_site_fract_x
_atom_site_fract_y
_atom_site_fract_z
_atom_site_occupancy
Er1 Er 0.9999 0.4925 0.0000 1
Er2 Er 0.1592 0.8239 0.5413 1
Mg1 Mg 0.0000 0.0000 0.9998 1
Mg2 Mg 0.0000 0.0000 0.2088 1
In1 In 0.0000 0.0000 0.4374 1
```

Peak list (10 most intense, 2θ = 15–90°, sorted by position)
hkl  2θ/deg  I_rel
1 0 1  15.25  60
0 0 6  24.77  29
0 2 1  29.90  84
0 2 4  34.05  92
2 0 5  36.34  100
0 0 9  37.53  30
0 2 10  52.12  33
2 2 0  52.53  42
4 0 4  64.08  22
2 2 9  66.34  33

---

Record 12
This entry pairs a crystal structure of ScFe2Ru with its calculated XRD peak list. Radiation: Cu Kα, 1.54184 Å. Structure: a structure optimized by DFT (PBE).
No peak broadening, texture or thermal motion is included.

Structure:
```
data_ScFe2Ru
_symmetry_space_group_name_H-M 'I m m a'
_symmetry_Int_Tables_number 74
_symmetry_space_group_name_Hall '-I 2b 2'
_cell_length_a 4.027
_cell_length_b 4.700
_cell_length_c 12.436
_cell_angle_alpha 90.00
_cell_angle_beta 90.00
_cell_angle_gamma 90.00
loop_
_atom_site_label
_atom_site_type_symbol
_atom_site_fract_x
_atom_site_fract_y
_atom_site_fract_z
_atom_site_occupancy
Sc1 Sc 0.000 0.250 0.156 1
Fe1 Fe 0.000 0.000 0.500 1
Fe2 Fe 0.000 0.250 0.947 1
Ru1 Ru 0.000 0.250 0.691 1
```

Peak list (10 most intense, 2θ = 15–90°, sorted by position)
hkl  2θ/deg  I_rel
0 1 1  20.20  55
1 1 2  32.63  30
0 2 0  38.30  19
0 2 2  41.06  23
1 1 4  41.41  100
1 0 5  42.73  30
2 0 0  45.02  37
1 2 1  45.27  21
1 2 3  50.03  30
1 3 4  71.36  18